Structure and calculated X-ray powder pattern of Pa2SeS2N2 (a PBE-relaxed structure; Cu Kα (λ = 1.5418 Å)).

Atomic structure:
```
Pa2SeS2N2
1.0
3.892 0.000 0.000
-1.946 3.371 0.000
0.000 0.000 11.078
Pa Se S N
2 1 2 2
Direct
0.333 0.667 0.132
0.667 0.333 0.868
0.000 0.000 0.500
0.000 0.000 0.279
0.000 0.000 0.721
0.333 0.667 0.926
0.667 0.333 0.074
```

Largest 10 diffraction maxima, most intense first, 10° ≤ 2θ ≤ 90°:
2theta, d/Å, I_rel, hkl
27.66, 3.225, 100, 1 0 1
31.06, 2.880, 71, 0 1 2
46.67, 1.946, 33, 1 1 0
42.23, 2.140, 30, 1 0 4
24.10, 3.693, 25, 0 0 3
36.08, 2.490, 23, 0 1 3
53.20, 1.722, 19, 1 1 3
49.21, 1.851, 17, 1 0 5
55.12, 1.666, 15, 0 2 1
56.86, 1.619, 15, 1 0 6